Record 1
This entry pairs a crystal structure of Eu2ZrTiO6 with its simulated powder X-ray diffraction pattern. Radiation: Cu Kα, 1.54184 Å. Structure: the PBE geometry in the Materials Project.

The 10 most intense peaks (15° ≤ 2θ ≤ 90°), low angle first:
2θ = 21.93°, I = 11
2θ = 31.21°, I = 100
2θ = 38.48°, I = 15
2θ = 44.72°, I = 31
2θ = 50.35°, I = 6
2θ = 55.55°, I = 39
2θ = 65.10°, I = 19
2θ = 73.96°, I = 17
2θ = 78.24°, I = 5
2θ = 82.44°, I = 6

Atomic structure:
abc: 5.731 5.731 5.731
angles: 60.00 60.00 60.00
Positions (direct):
Eu1 0.250 0.250 0.250
Eu2 0.750 0.750 0.750
Zr1 0.000 0.000 0.000
Ti1 0.500 0.500 0.500
O1 0.257 0.257 0.743
O2 0.257 0.743 0.257
O3 0.257 0.743 0.743
O4 0.743 0.257 0.257
O5 0.743 0.257 0.743
O6 0.743 0.743 0.257

Record 2
This entry pairs a crystal structure of LiHfPd2 with its simulated powder X-ray diffraction pattern. Radiation: Cu Kα, 1.54184 Å. Structure: the PBE geometry in the Materials Project.

The 9 most intense peaks (15° ≤ 2θ ≤ 90°), low angle first:
2θ = 24.11°, I = 45
2θ = 27.90°, I = 1
2θ = 39.87°, I = 100
2θ = 47.14°, I = 23
2θ = 57.66°, I = 17
2θ = 63.40°, I = 10
2θ = 72.40°, I = 34
2θ = 77.57°, I = 7
2θ = 86.00°, I = 11

Atomic structure:
abc: 4.522 4.522 4.522
angles: 60.00 60.00 60.00
Positions (direct):
Li1 0.000 0.000 0.000
Hf1 0.500 0.500 0.500
Pd1 0.250 0.250 0.250
Pd2 0.750 0.750 0.750

Please write out number 1 again, unchanged.
This entry pairs a crystal structure of Eu2ZrTiO6 with its simulated powder X-ray diffraction pattern. Radiation: Cu Kα, 1.54184 Å. Structure: the PBE geometry in the Materials Project.

The 10 most intense peaks (15° ≤ 2θ ≤ 90°), low angle first:
2θ = 21.93°, I = 11
2θ = 31.21°, I = 100
2θ = 38.48°, I = 15
2θ = 44.72°, I = 31
2θ = 50.35°, I = 6
2θ = 55.55°, I = 39
2θ = 65.10°, I = 19
2θ = 73.96°, I = 17
2θ = 78.24°, I = 5
2θ = 82.44°, I = 6

Atomic structure:
abc: 5.731 5.731 5.731
angles: 60.00 60.00 60.00
Positions (direct):
Eu1 0.250 0.250 0.250
Eu2 0.750 0.750 0.750
Zr1 0.000 0.000 0.000
Ti1 0.500 0.500 0.500
O1 0.257 0.257 0.743
O2 0.257 0.743 0.257
O3 0.257 0.743 0.743
O4 0.743 0.257 0.257
O5 0.743 0.257 0.743
O6 0.743 0.743 0.257

Copy entry 1 word for word.
This entry pairs a crystal structure of Eu2ZrTiO6 with its simulated powder X-ray diffraction pattern. Radiation: Cu Kα, 1.54184 Å. Structure: the PBE geometry in the Materials Project.

The 10 most intense peaks (15° ≤ 2θ ≤ 90°), low angle first:
2θ = 21.93°, I = 11
2θ = 31.21°, I = 100
2θ = 38.48°, I = 15
2θ = 44.72°, I = 31
2θ = 50.35°, I = 6
2θ = 55.55°, I = 39
2θ = 65.10°, I = 19
2θ = 73.96°, I = 17
2θ = 78.24°, I = 5
2θ = 82.44°, I = 6

Atomic structure:
abc: 5.731 5.731 5.731
angles: 60.00 60.00 60.00
Positions (direct):
Eu1 0.250 0.250 0.250
Eu2 0.750 0.750 0.750
Zr1 0.000 0.000 0.000
Ti1 0.500 0.500 0.500
O1 0.257 0.257 0.743
O2 0.257 0.743 0.257
O3 0.257 0.743 0.743
O4 0.743 0.257 0.257
O5 0.743 0.257 0.743
O6 0.743 0.743 0.257